Calculated powder X-ray diffraction pattern
Compound: BaSn5
Radiation: copper Kα
Structure: DFT lattice parameters and positions (GGA-PBE)
Peak positions follow from Bragg's law for the DFT cell and can differ from measured ones.

Peak list (10 most intense, 2θ = 10–80°, in order of falling intensity)
- 2θ 31.2, I 100, (1 0 3)
- 2θ 32.0, I 70, (1 2 1)
- 2θ 29.1, I 44, (0 2 2)
- 2θ 38.9, I 28, (2 0 0)
- 2θ 49.3, I 21, (2 2 2)
- 2θ 41.0, I 19, (0 2 4)
- 2θ 52.4, I 17, (1 2 5)
- 2θ 68.2, I 14, (0 5 3)
- 2θ 57.8, I 14, (2 2 4)
- 2θ 50.0, I 14, (0 0 6)

Structure:
a b c (Å): 4.627 7.432 10.940
angles (deg): 90.00 90.00 90.00
Space group Immm (No. 71)
One atom of each set of equivalent atoms:
Ba 0.000 0.000 0.000 x2
Sn 0.000 0.200 0.334 x8
Sn 0.000 0.500 0.000 x2

---

Calculated powder X-ray diffraction pattern
Compound: Ba5Sn2
Radiation: copper Kα
Structure: DFT lattice parameters and positions (GGA-PBE)
Peak positions follow from Bragg's law for the DFT cell and can differ from measured ones.

Peak list (10 most intense, 2θ = 10–80°, in order of falling intensity)
- 2θ 30.7, I 100, (0 4 2)
- 2θ 30.0, I 93, (2 0 2)
- 2θ 28.2, I 89, (2 4 0)
- 2θ 25.3, I 78, (1 1 2)
- 2θ 27.2, I 60, (1 5 0)
- 2θ 29.6, I 36, (3 1 0)
- 2θ 34.2, I 32, (1 6 1)
- 2θ 45.7, I 29, (3 5 2)
- 2θ 55.2, I 27, (2 4 4)
- 2θ 33.0, I 27, (3 2 1)

Structure:
a b c (Å): 9.193 17.496 7.816
angles (deg): 90.00 90.00 90.00
Space group Ibam (No. 72)
One atom of each set of equivalent atoms:
Ba 0.000 0.000 0.250 x4
Ba 0.000 0.234 0.250 x8
Ba 0.148 0.422 0.000 x8
Sn 0.234 0.376 0.500 x8

---

Calculated powder X-ray diffraction pattern
Compound: BaSn2
Radiation: copper Kα
Structure: DFT lattice parameters and positions (GGA-PBE)
Peak positions follow from Bragg's law for the DFT cell and can differ from measured ones.

Peak list (10 most intense, 2θ = 10–80°, in order of falling intensity)
- 2θ 26.9, I 100, (1 0 1)
- 2θ 37.8, I 42, (1 1 0)
- 2θ 39.0, I 28, (0 1 2)
- 2θ 47.0, I 22, (0 2 1)
- 2θ 61.9, I 20, (2 1 1)
- 2θ 69.1, I 11, (1 2 2)
- 2θ 55.5, I 10, (2 0 2)
- 2θ 50.4, I 10, (1 1 2)
- 2θ 54.1, I 10, (1 0 3)
- 2θ 68.3, I 8, (3 0 0)

Structure:
a b c (Å): 4.7574 4.7574 5.5762
angles (deg): 90.00 90.00 120.00
Space group P-3m1 (No. 164)
One atom of each set of equivalent atoms:
Ba 0.0000 0.0000 0.0000 x1
Sn 0.3333 0.6667 0.6036 x2

---

Calculated powder X-ray diffraction pattern
Compound: Ba3Sn5
Radiation: copper Kα
Structure: DFT lattice parameters and positions (GGA-PBE)
Peak positions follow from Bragg's law for the DFT cell and can differ from measured ones.

Peak list (10 most intense, 2θ = 10–80°, in order of falling intensity)
- 2θ 32.5, I 100, (1 3 5)
- 2θ 27.6, I 96, (0 6 2)
- 2θ 27.7, I 95, (2 0 2)
- 2θ 36.3, I 93, (2 6 0)
- 2θ 42.3, I 49, (1 3 7)
- 2θ 24.1, I 42, (1 3 3)
- 2θ 49.4, I 30, (1 9 5)
- 2θ 49.6, I 29, (3 3 5)
- 2θ 60.2, I 22, (4 6 2)
- 2θ 60.0, I 22, (2 12 2)

Structure:
a b c (Å): 6.988 21.078 16.555
angles (deg): 90.00 90.00 90.00
Space group Fdd2 (No. 43)
One atom of each set of equivalent atoms:
Ba 0.000 0.000 0.000 x8
Ba 0.009 0.171 0.499 x16
Sn 0.000 0.000 0.560 x8
Sn 0.009 0.332 0.587 x16
Sn 0.020 0.167 0.913 x16

---

Calculated powder X-ray diffraction pattern
Compound: Ba3Sn5
Radiation: copper Kα
Structure: DFT lattice parameters and positions (GGA-PBE)
Peak positions follow from Bragg's law for the DFT cell and can differ from measured ones.

Peak list (10 most intense, 2θ = 10–80°, in order of falling intensity)
- 2θ 29.9, I 100, (2 2 2)
- 2θ 35.3, I 45, (3 1 3)
- 2θ 30.6, I 41, (1 3 0)
- 2θ 31.7, I 39, (0 0 4)
- 2θ 34.9, I 37, (2 2 3)
- 2θ 30.4, I 35, (3 1 2)
- 2θ 32.1, I 26, (4 0 0)
- 2θ 50.9, I 26, (5 3 0)
- 2θ 26.5, I 21, (2 2 1)
- 2θ 25.2, I 19, (0 2 2)

Structure:
a b c (Å): 11.144 9.084 11.298
angles (deg): 90.00 90.00 90.00
Space group Cmcm (No. 63)
One atom of each set of equivalent atoms:
Ba 0.000 0.150 0.250 x4
Ba 0.206 0.500 0.000 x8
Sn 0.000 0.193 0.561 x8
Sn 0.000 0.449 0.750 x4
Sn 0.193 0.211 0.750 x8

---

Calculated powder X-ray diffraction pattern
Compound: Ba3Sn
Radiation: copper Kα
Structure: DFT lattice parameters and positions (GGA-PBE)
Peak positions follow from Bragg's law for the DFT cell and can differ from measured ones.

Peak list (10 most intense, 2θ = 10–80°, in order of falling intensity)
- 2θ 25.1, I 100, (1 1 2)
- 2θ 28.0, I 47, (4 1 1)
- 2θ 30.7, I 44, (1 3 2)
- 2θ 27.5, I 33, (2 4 0)
- 2θ 31.5, I 24, (5 1 0)
- 2θ 33.1, I 22, (4 3 1)
- 2θ 26.1, I 19, (3 3 0)
- 2θ 50.7, I 19, (1 7 2)
- 2θ 43.6, I 18, (3 6 1)
- 2θ 29.4, I 17, (2 2 2)

Structure:
a b c (Å): 14.499 14.499 7.527
angles (deg): 90.00 90.00 90.00
Space group I-4 (No. 82)
One atom of each set of equivalent atoms:
Ba 0.033 0.364 0.478 x8
Ba 0.085 0.882 0.230 x8
Ba 0.166 0.775 0.760 x8
Sn 0.051 0.299 0.987 x8

---

Calculated powder X-ray diffraction pattern
Compound: Ba2SrSn9
Radiation: copper Kα
Structure: DFT lattice parameters and positions (GGA-PBE)
Peak positions follow from Bragg's law for the DFT cell and can differ from measured ones.

Peak list (10 most intense, 2θ = 10–80°, in order of falling intensity)
- 2θ 32.4, I 100, (1 1 6)
- 2θ 35.0, I 41, (2 0 5)
- 2θ 57.1, I 30, (2 2 0)
- 2θ 32.2, I 29, (0 2 1)
- 2θ 52.0, I 27, (3 0 6)
- 2θ 33.3, I 26, (0 0 12)
- 2θ 27.7, I 24, (1 1 0)
- 2θ 67.7, I 21, (2 2 12)
- 2θ 34.5, I 20, (0 1 11)
- 2θ 27.2, I 19, (0 1 8)

Structure:
a b c (Å): 6.4498 6.4498 32.3290
angles (deg): 90.00 90.00 120.00
Space group R-3m (No. 166, hexagonal axes)
One atom of each set of equivalent atoms:
Ba 0.0000 0.0000 0.1407 x6
Sr 0.0000 0.0000 0.0000 x3
Sn 0.0000 0.0000 0.3350 x6
Sn 0.0000 0.0000 0.5000 x3
Sn 0.0011 0.5006 0.9170 x18

---

Calculated powder X-ray diffraction pattern
Compound: Ba5SnTe8
Radiation: copper Kα
Structure: DFT lattice parameters and positions (GGA-PBE)
Peak positions follow from Bragg's law for the DFT cell and can differ from measured ones.

Peak list (10 most intense, 2θ = 10–80°, in order of falling intensity)
- 2θ 28.0, I 100, (1 3 0)
- 2θ 26.1, I 97, (1 0 3)
- 2θ 31.6, I 80, (1 2 3)
- 2θ 27.8, I 65, (3 0 1)
- 2θ 32.6, I 63, (3 1 2)
- 2θ 33.1, I 46, (3 2 1)
- 2θ 40.8, I 35, (3 2 3)
- 2θ 40.1, I 27, (2 4 0)
- 2θ 51.9, I 22, (1 1 6)
- 2θ 21.4, I 22, (1 2 1)

Structure:
a b c (Å): 10.061 10.061 10.906
angles (deg): 90.00 90.00 90.00
Space group I-4 (No. 82)
One atom of each set of equivalent atoms:
Ba 0.000 0.000 0.000 x2
Ba 0.123 0.247 0.623 x8
Sn 0.000 0.500 0.250 x2
Te 0.088 0.197 0.297 x8
Te 0.101 0.326 0.939 x8

---

Calculated powder X-ray diffraction pattern
Compound: Ba2Sn2Te5
Radiation: copper Kα
Structure: DFT lattice parameters and positions (GGA-PBE)
Peak positions follow from Bragg's law for the DFT cell and can differ from measured ones.

Peak list (10 most intense, 2θ = 10–80°, in order of falling intensity)
- 2θ 29.8, I 100, (0 2 2)
- 2θ 22.3, I 67, (4 1 1)
- 2θ 29.2, I 66, (6 1 1)
- 2θ 37.9, I 65, (4 1 3)
- 2θ 21.3, I 48, (0 0 2)
- 2θ 33.5, I 45, (8 0 0)
- 2θ 31.0, I 41, (2 2 2)
- 2θ 23.2, I 39, (5 1 0)
- 2θ 37.2, I 37, (4 3 1)
- 2θ 45.5, I 31, (8 2 2)

Structure:
a b c (Å): 21.379 8.600 8.343
angles (deg): 90.00 90.00 90.00
Space group Ima2 (No. 46)
One atom of each set of equivalent atoms:
Ba 0.100 0.023 0.000 x8
Sn 0.000 0.000 0.483 x4
Sn 0.250 0.572 0.013 x4
Te 0.010 0.741 0.242 x8
Te 0.142 0.089 0.409 x8
Te 0.250 0.621 0.371 x4

---

Calculated powder X-ray diffraction pattern
Compound: BaSn5Te7
Radiation: copper Kα
Structure: DFT lattice parameters and positions (GGA-PBE)
Peak positions follow from Bragg's law for the DFT cell and can differ from measured ones.

Peak list (10 most intense, 2θ = 10–80°, in order of falling intensity)
- 2θ 27.5, I 100, (1 3 2)
- 2θ 28.6, I 79, (1 3 3)
- 2θ 39.6, I 73, (2 0 0)
- 2θ 26.3, I 62, (0 2 7)
- 2θ 40.1, I 38, (1 5 5)
- 2θ 40.3, I 29, (0 6 5)
- 2θ 29.3, I 28, (0 2 8)
- 2θ 36.7, I 26, (1 1 9)
- 2θ 48.2, I 23, (2 2 7)
- 2θ 65.2, I 21, (1 9 7)

Structure:
a b c (Å): 4.544 14.765 26.726
angles (deg): 90.00 90.00 90.00
Space group Cmcm (No. 63)
One atom of each set of equivalent atoms:
Ba 0.000 0.200 0.250 x4
Sn 0.000 0.000 0.000 x4
Sn 0.000 0.276 0.572 x8
Sn 0.000 0.455 0.146 x8
Te 0.000 0.098 0.109 x8
Te 0.000 0.179 0.671 x8
Te 0.000 0.365 0.037 x8
Te 0.000 0.474 0.750 x4

---

Calculated powder X-ray diffraction pattern
Compound: Ba2ThSnTe5
Radiation: copper Kα
Structure: DFT lattice parameters and positions (GGA-PBE)
Peak positions follow from Bragg's law for the DFT cell and can differ from measured ones.

Peak list (10 most intense, 2θ = 10–80°, in order of falling intensity)
- 2θ 25.9, I 100, (1 1 3)
- 2θ 27.4, I 46, (0 6 1)
- 2θ 30.2, I 37, (0 2 5)
- 2θ 38.0, I 34, (2 0 0)
- 2θ 29.2, I 32, (0 6 2)
- 2θ 22.5, I 28, (1 1 2)
- 2θ 31.5, I 26, (1 5 2)
- 2θ 47.5, I 21, (2 6 1)
- 2θ 40.9, I 19, (1 7 3)
- 2θ 11.4, I 18, (0 0 2)

Structure:
a b c (Å): 4.732 19.947 15.481
angles (deg): 90.00 90.00 90.00
Space group Cmc2_1 (No. 36)
One atom of each set of equivalent atoms:
Ba 0.000 0.090 0.000 x4
Ba 0.000 0.133 0.644 x4
Th 0.000 0.222 0.368 x4
Sn 0.000 0.454 0.788 x4
Te 0.000 0.072 0.411 x4
Te 0.000 0.267 0.006 x4
Te 0.000 0.304 0.734 x4
Te 0.000 0.376 0.329 x4
Te 0.000 0.492 0.101 x4

---

Calculated powder X-ray diffraction pattern
Compound: Ba2TlSnTe5
Radiation: copper Kα
Structure: DFT lattice parameters and positions (GGA-PBE)
Peak positions follow from Bragg's law for the DFT cell and can differ from measured ones.

Peak list (10 most intense, 2θ = 10–80°, in order of falling intensity)
- 2θ 27.6, I 100, (1 1 3)
- 2θ 31.0, I 66, (1 5 2)
- 2θ 25.7, I 63, (0 6 1)
- 2θ 38.1, I 33, (2 0 0)
- 2θ 44.1, I 27, (1 7 4)
- 2θ 46.5, I 25, (2 6 1)
- 2θ 23.3, I 18, (1 1 2)
- 2θ 42.9, I 13, (1 9 1)
- 2θ 57.8, I 13, (2 6 5)
- 2θ 40.8, I 13, (0 2 6)

Structure:
a b c (Å): 4.729 21.543 13.545
angles (deg): 90.00 90.00 90.00
Space group Cmc2_1 (No. 36)
One atom of each set of equivalent atoms:
Ba 0.000 0.117 0.000 x4
Ba 0.000 0.120 0.628 x4
Tl 0.000 0.226 0.348 x4
Sn 0.000 0.427 0.766 x4
Te 0.000 0.043 0.381 x4
Te 0.000 0.282 0.007 x4
Te 0.000 0.307 0.676 x4
Te 0.000 0.364 0.316 x4
Te 0.000 0.496 0.589 x4